Diffraction record for Mg2NbCoRh. The X-ray diffraction stick pattern is calculated, not measured: it uses a structure optimized by DFT (GGA-PBE) and CuKα.

Crystal structure
a = 5.162 Å, b = 5.162 Å, c = 4.208 Å
α = 90.00°, β = 90.00°, γ = 90.00°
Space group P4/mmm (No. 123)
Inequivalent atoms, fractional coordinates:
Mg1 0.000 0.500 0.000 (multiplicity 2)
Nb1 0.000 0.000 0.000 (multiplicity 1)
Co1 0.000 0.000 0.500 (multiplicity 1)
Rh1 0.500 0.500 0.500 (multiplicity 1)

Main lines, in order of rising 2θ (2θ = 10–90°):
- 2θ 17.2, rel. 15, (1 0 0)
- 2θ 24.4, rel. 100, (1 1 0)
- 2θ 27.3, rel. 64, (1 0 1)
- 2θ 32.5, rel. 32, (1 1 1)
- 2θ 34.8, rel. 87, (2 0 0)
- 2θ 43.0, rel. 24, (0 0 2)
- 2θ 44.8, rel. 33, (2 1 1)
- 2θ 50.0, rel. 57, (2 2 0)
- 2θ 56.4, rel. 60, (2 0 2)
- 2θ 68.0, rel. 23, (2 2 2)
- 2θ 73.4, rel. 26, (4 0 0)
- 2θ 83.8, rel. 13, (4 2 0)



Diffraction record for MgNbZn4Co2. The X-ray diffraction stick pattern is calculated, not measured: it uses a structure optimized by DFT (GGA-PBE) and CuKα.

Crystal structure
a = 3.478 Å, b = 3.478 Å, c = 10.548 Å
α = 90.00°, β = 90.00°, γ = 90.00°
Space group P4/mmm (No. 123)
Inequivalent atoms, fractional coordinates:
Mg1 0.000 0.000 0.000 (multiplicity 1)
Nb1 0.000 0.000 0.500 (multiplicity 1)
Zn1 0.000 0.500 0.223 (multiplicity 4)
Co1 0.500 0.500 0.393 (multiplicity 2)

Main lines, in order of rising 2θ (2θ = 10–90°):
- 2θ 16.8, rel. 18, (0 0 2)
- 2θ 25.3, rel. 12, (0 0 3)
- 2θ 30.8, rel. 11, (1 0 2)
- 2θ 34.0, rel. 12, (0 0 4)
- 2θ 36.3, rel. 12, (1 0 3)
- 2θ 37.5, rel. 33, (1 1 1)
- 2θ 40.5, rel. 100, (1 1 2)
- 2θ 43.0, rel. 26, (1 0 4)
- 2θ 50.8, rel. 13, (1 1 4)
- 2θ 52.6, rel. 36, (2 0 0)
- 2θ 70.3, rel. 11, (2 1 4)
- 2θ 77.6, rel. 11, (2 2 0)



Diffraction record for Nd2Mg2Co15. The X-ray diffraction stick pattern is calculated, not measured: it uses a structure optimized by DFT (GGA-PBE) and CuKα.

Crystal structure
a = 8.5116 Å, b = 8.5116 Å, c = 12.2773 Å
α = 90.00°, β = 90.00°, γ = 120.00°
Space group R-3m (No. 166, hexagonal axes)
Inequivalent atoms, fractional coordinates:
Nd1 0.0000 0.0000 0.1482 (multiplicity 6)
Mg1 0.0000 0.0000 0.3950 (multiplicity 6)
Co1 0.0000 0.2891 0.5000 (multiplicity 18)
Co2 0.0000 0.5000 0.0000 (multiplicity 9)
Co3 0.0026 0.5013 0.6520 (multiplicity 18)

Main lines, in order of rising 2θ (2θ = 10–90°):
- 2θ 25.2, rel. 16, (0 2 1)
- 2θ 30.3, rel. 35, (1 1 3)
- 2θ 36.6, rel. 30, (3 0 0)
- 2θ 38.2, rel. 32, (0 2 4)
- 2θ 42.5, rel. 55, (2 2 0)
- 2θ 42.9, rel. 100, (0 3 3)
- 2θ 43.9, rel. 18, (2 1 4)
- 2θ 44.3, rel. 40, (0 0 6)
- 2θ 48.2, rel. 25, (2 2 3)
- 2θ 62.0, rel. 16, (4 1 3)
- 2θ 63.0, rel. 17, (2 2 6)
- 2θ 77.7, rel. 16, (6 0 0)



Diffraction record for MgCoNi2. The X-ray diffraction stick pattern is calculated, not measured: it uses a structure optimized by DFT (GGA-PBE) and CuKα.

Crystal structure
a = 3.697 Å, b = 3.697 Å, c = 3.582 Å
α = 90.00°, β = 90.00°, γ = 90.00°
Space group P4/mmm (No. 123)
Inequivalent atoms, fractional coordinates:
Mg1 0.000 0.000 0.000 (multiplicity 1)
Co1 0.500 0.500 0.000 (multiplicity 1)
Ni1 0.000 0.500 0.500 (multiplicity 2)

Main lines, in order of rising 2θ (2θ = 10–90°):
- 2θ 24.1, rel. 7, (1 0 0)
- 2θ 24.9, rel. 4, (0 0 1)
- 2θ 34.3, rel. 4, (1 1 0)
- 2θ 34.9, rel. 5, (1 0 1)
- 2θ 42.8, rel. 100, (1 1 1)
- 2θ 49.3, rel. 32, (2 0 0)
- 2θ 51.0, rel. 15, (0 0 2)
- 2θ 56.0, rel. 2, (2 0 1)
- 2θ 61.8, rel. 2, (2 1 1)
- 2θ 72.3, rel. 9, (2 2 0)
- 2θ 73.6, rel. 18, (2 0 2)
- 2θ 87.8, rel. 22, (3 1 1)